Calculated PXRD pattern of Te2PO7 for λ = 1.5418 Å (Cu Kα), from DFT lattice parameters and positions (PBE).
Lines closer than 0.1° are merged.

Peak list (10 most intense, 2θ from 5° to 70°, in order of falling intensity)
26.23°, 3.397 Å, I = 100, hkl 1 1 2
18.58°, 4.775 Å, I = 71, hkl 1 1 1
32.02°, 2.795 Å, I = 47, hkl 3 1 1
24.44°, 3.641 Å, I = 33, hkl 2 1 1
37.12°, 2.422 Å, I = 28, hkl 2 0 3
24.58°, 3.622 Å, I = 25, hkl 0 2 0
18.20°, 4.875 Å, I = 25, hkl 2 0 0
34.01°, 2.636 Å, I = 24, hkl 1 2 2
56.16°, 1.638 Å, I = 22, hkl 1 4 2
21.09°, 4.213 Å, I = 21, hkl 2 0 1

Cell and atoms:
Cell: 9.7504 7.2400 8.3738 Å, 90.00 90.00 90.00°
Space group Pca2_1 (No. 29)
Asymmetric unit:
1 Te 0.1572 0.1891 0.0000
2 Te 0.1808 0.8167 0.7010
3 P 0.0870 0.4524 0.3089
4 O 0.0071 0.9052 0.6172
5 O 0.0701 0.5857 0.8017
6 O 0.1124 0.6520 0.3599
7 O 0.1475 0.3052 0.4261
8 O 0.1527 0.4283 0.1377
9 O 0.1610 0.9155 0.9148
10 O 0.2338 0.0897 0.6664